Entry 1:
The following is a computed powder diffractogram of Fe7W. It was derived from the PBE geometry in Alexandria, using Cu Kα, 1.54184 Å.
Intensities are scaled so that the largest is 100.

Atomic structure:
```
data_Fe7W
_chemical_formula_sum 'Fe14 W2'
_symmetry_space_group_name_H-M 'I 4/m m m'
_symmetry_Int_Tables_number 139
_symmetry_space_group_name_Hall '-I 4 2'
_cell_length_a 3.548
_cell_length_b 3.548
_cell_length_c 14.362
_cell_angle_alpha 90.00
_cell_angle_beta 90.00
_cell_angle_gamma 90.00
loop_
_atom_site_label
_atom_site_fract_x
_atom_site_fract_y
_atom_site_fract_z
Fe1 0.000 0.000 0.000
Fe2 0.000 0.000 0.249
Fe3 0.000 0.500 0.131
W1 0.000 0.000 0.500
```

Top 8 peaks for 5 to 70 degrees two-theta, by angle:
d = 7.181 Å, 2θ 12.33, rel. 17, hkl 0 0 2
d = 3.444 Å, 2θ 25.87, rel. 17, hkl 1 0 1
d = 2.850 Å, 2θ 31.38, rel. 11, hkl 1 0 3
d = 2.368 Å, 2θ 38.00, rel. 9, hkl 1 1 2
d = 2.232 Å, 2θ 40.40, rel. 5, hkl 1 0 5
d = 2.056 Å, 2θ 44.04, rel. 100, hkl 1 1 4
d = 1.795 Å, 2θ 50.86, rel. 16, hkl 0 0 8
d = 1.774 Å, 2θ 51.52, rel. 34, hkl 2 0 0

=====

Entry 2:
The following is a computed powder diffractogram of TbTm2C3. It was derived from the PBE geometry in Alexandria, using Cu Kα, 1.54184 Å.
Intensities are scaled so that the largest is 100.

Atomic structure:
```
data_TbTm2C3
_chemical_formula_sum 'Tb4 Tm8 C12'
_symmetry_space_group_name_H-M 'I m m a'
_symmetry_Int_Tables_number 74
_symmetry_space_group_name_Hall '-I 2b 2'
_cell_length_a 5.588
_cell_length_b 10.156
_cell_length_c 7.429
_cell_angle_alpha 90.00
_cell_angle_beta 90.00
_cell_angle_gamma 90.00
loop_
_atom_site_label
_atom_site_fract_x
_atom_site_fract_y
_atom_site_fract_z
Tb1 0.000 0.250 0.032
Tm1 0.000 0.075 0.669
C1 0.124 0.000 0.000
C2 0.250 0.250 0.750
```

Top 8 peaks for 5 to 70 degrees two-theta, by angle:
d = 5.996 Å, 2θ 14.77, rel. 48, hkl 0 1 1
d = 3.353 Å, 2θ 26.58, rel. 100, hkl 1 2 1
d = 3.081 Å, 2θ 28.98, rel. 71, hkl 0 3 1
d = 2.959 Å, 2θ 30.20, rel. 48, hkl 1 1 2
d = 2.794 Å, 2θ 32.04, rel. 66, hkl 2 0 0
d = 2.264 Å, 2θ 39.82, rel. 73, hkl 1 0 3
d = 2.069 Å, 2θ 43.74, rel. 56, hkl 2 3 1
d = 1.563 Å, 2θ 59.10, rel. 34, hkl 1 3 4

=====

Entry 3:
The following is a computed powder diffractogram of Ba3GeO5. It was derived from the PBE geometry in Alexandria, using Cu Kα, 1.54184 Å.
Intensities are scaled so that the largest is 100.

Atomic structure:
```
data_Ba3GeO5
_chemical_formula_sum 'Ba27 Ge9 O45'
_symmetry_space_group_name_H-M 'R 3 m'
_symmetry_Int_Tables_number 160
_symmetry_space_group_name_Hall 'R 3 -2"'
_cell_length_a 8.0721
_cell_length_b 8.0721
_cell_length_c 28.8177
_cell_angle_alpha 90.00
_cell_angle_beta 90.00
_cell_angle_gamma 120.00
loop_
_atom_site_label
_atom_site_fract_x
_atom_site_fract_y
_atom_site_fract_z
Ba1 0.0202 0.5101 0.0000
Ba2 0.1676 0.3352 0.1108
Ba3 0.1765 0.3530 0.8880
Ge1 0.0000 0.0000 0.9998
Ge2 0.0000 0.0000 0.5599
Ge3 0.0000 0.0000 0.7808
O1 0.0000 0.0000 0.0617
O2 0.0000 0.0000 0.1650
O3 0.0000 0.0000 0.2778
O4 0.0000 0.0000 0.3916
O5 0.0000 0.0000 0.6223
O6 0.0000 0.0000 0.8432
O7 0.0909 0.5454 0.6465
O8 0.2124 0.4248 0.4266
O9 0.2129 0.4258 0.2053
```

Top 8 peaks for 5 to 70 degrees two-theta, by angle:
d = 3.470 Å, 2θ 25.67, rel. 45, hkl 0 2 1
d = 3.202 Å, 2θ 27.86, rel. 57, hkl 0 0 9
d = 3.145 Å, 2θ 28.38, rel. 100, hkl 0 2 4
d = 2.989 Å, 2θ 29.90, rel. 85, hkl 2 0 5
d = 2.508 Å, 2θ 35.80, rel. 25, hkl 2 0 8
d = 2.018 Å, 2θ 44.92, rel. 51, hkl 2 2 0
d = 1.872 Å, 2θ 48.64, rel. 28, hkl 0 2 13
d = 1.707 Å, 2θ 53.69, rel. 47, hkl 2 2 9

=====

Entry 4:
The following is a computed powder diffractogram of AlFeAg2. It was derived from the PBE geometry in Alexandria, using Cu Kα, 1.54184 Å.
Intensities are scaled so that the largest is 100.

Atomic structure:
```
data_AlFeAg2
_chemical_formula_sum 'Al1 Fe1 Ag2'
_symmetry_space_group_name_H-M 'P 4 m m'
_symmetry_Int_Tables_number 99
_symmetry_space_group_name_Hall 'P 4 -2'
_cell_length_a 2.807
_cell_length_b 2.807
_cell_length_c 7.870
_cell_angle_alpha 90.00
_cell_angle_beta 90.00
_cell_angle_gamma 90.00
loop_
_atom_site_label
_atom_site_fract_x
_atom_site_fract_y
_atom_site_fract_z
Al1 0.000 0.000 0.000
Fe1 0.500 0.500 0.207
Ag1 0.000 0.000 0.457
Ag2 0.500 0.500 0.743
```

Top 8 peaks for 5 to 70 degrees two-theta, by angle:
d = 7.870 Å, 2θ 11.24, rel. 29, hkl 0 0 1
d = 2.644 Å, 2θ 33.90, rel. 26, hkl 1 0 1
d = 2.623 Å, 2θ 34.18, rel. 12, hkl 0 0 3
d = 2.285 Å, 2θ 39.43, rel. 100, hkl 1 0 2
d = 1.985 Å, 2θ 45.71, rel. 34, hkl 1 1 0
d = 1.967 Å, 2θ 46.14, rel. 13, hkl 0 0 4
d = 1.404 Å, 2θ 66.63, rel. 10, hkl 2 0 0
d = 1.397 Å, 2θ 66.97, rel. 16, hkl 1 1 4

=====

Entry 5:
The following is a computed powder diffractogram of Ta6Al7. It was derived from the PBE geometry in Alexandria, using Cu Kα, 1.54184 Å.
Intensities are scaled so that the largest is 100.

Atomic structure:
```
data_Ta6Al7
_chemical_formula_sum 'Ta18 Al21'
_symmetry_space_group_name_H-M 'R -3 m'
_symmetry_Int_Tables_number 166
_symmetry_space_group_name_Hall '-R 3 2"'
_cell_length_a 5.1391
_cell_length_b 5.1391
_cell_length_c 27.8405
_cell_angle_alpha 90.00
_cell_angle_beta 90.00
_cell_angle_gamma 120.00
loop_
_atom_site_label
_atom_site_fract_x
_atom_site_fract_y
_atom_site_fract_z
Ta1 0.0000 0.0000 0.0465
Ta2 0.0000 0.0000 0.1479
Ta3 0.0000 0.0000 0.3361
Al1 0.0000 0.0000 0.5000
Al2 0.0041 0.5020 0.9114
```

Top 8 peaks for 5 to 70 degrees two-theta, by angle:
d = 9.280 Å, 2θ 9.53, rel. 25, hkl 0 0 3
d = 4.640 Å, 2θ 19.13, rel. 24, hkl 0 0 6
d = 4.395 Å, 2θ 20.21, rel. 31, hkl 1 0 1
d = 2.570 Å, 2θ 34.92, rel. 100, hkl 1 1 0
d = 2.360 Å, 2θ 38.13, rel. 65, hkl 1 0 10
d = 2.248 Å, 2θ 40.11, rel. 52, hkl 1 1 6
d = 2.200 Å, 2θ 41.03, rel. 39, hkl 0 1 11
d = 1.440 Å, 2θ 64.75, rel. 28, hkl 2 1 10